1.
Calculated X-ray powder pattern of Nd4IBr4N for Cu Kα, from the GGA-PBE geometry in OQMD.
Kinematic intensities with the Lorentz-polarization factor, no thermal factor.

Structural model:
Lattice parameters (Å, degrees): 9.288 9.288 8.737 103.52 103.52 24.44
Sites, in units of the cell vectors:
Nd 0.001 0.001 0.307
Nd 0.361 0.361 0.429
Nd 0.639 0.639 0.571
Nd 0.999 0.999 0.693
I 0.500 0.500 0.000
Br 0.166 0.166 0.832
Br 0.171 0.171 0.335
Br 0.829 0.829 0.665
Br 0.834 0.834 0.168
N 0.500 0.500 0.500

Most intense lines, 10° ≤ 2θ ≤ 80°, most intense first:
- 30.59°, intensity 100
- 43.69°, intensity 43
- 30.42°, intensity 34
- 10.43°, intensity 33
- 10.04°, intensity 24
- 27.92°, intensity 16
- 46.18°, intensity 15
- 38.55°, intensity 15
- 41.34°, intensity 12
- 56.31°, intensity 12

---

2.
Calculated X-ray powder pattern of PrNdIBr2N for Cu Kα, from the GGA-PBE geometry in OQMD.
Kinematic intensities with the Lorentz-polarization factor, no thermal factor.

Structural model:
Lattice parameters (Å, degrees): 9.756 9.756 12.196 124.09 124.09 24.27
Sites, in units of the cell vectors:
Pr 0.137 0.137 0.285
Pr 0.863 0.863 0.715
Nd 0.426 0.426 0.042
Nd 0.574 0.574 0.958
I 0.230 0.230 0.128
I 0.770 0.770 0.872
Br 0.035 0.035 0.751
Br 0.332 0.332 0.497
Br 0.668 0.668 0.503
Br 0.965 0.965 0.249
N 0.425 0.425 0.849
N 0.575 0.575 0.151

Most intense lines, 10° ≤ 2θ ≤ 80°, most intense first:
- 30.74°, intensity 100
- 25.33°, intensity 74
- 30.09°, intensity 57
- 33.75°, intensity 44
- 29.39°, intensity 39
- 26.58°, intensity 34
- 44.15°, intensity 34
- 32.07°, intensity 33
- 36.89°, intensity 32
- 28.93°, intensity 31

---

3.
Calculated X-ray powder pattern of PrNdI2BrN for Cu Kα, from the GGA-PBE geometry in OQMD.
Kinematic intensities with the Lorentz-polarization factor, no thermal factor.

Structural model:
Lattice parameters (Å, degrees): 9.619 9.619 12.079 121.68 121.68 24.81
Sites, in units of the cell vectors:
Pr 0.078 0.078 0.461
Pr 0.922 0.922 0.539
Nd 0.371 0.371 0.222
Nd 0.629 0.629 0.778
I 0.164 0.164 0.018
I 0.450 0.450 0.763
I 0.550 0.550 0.237
I 0.836 0.836 0.982
Br 0.288 0.288 0.382
Br 0.712 0.712 0.618
N 0.070 0.070 0.651
N 0.930 0.930 0.349

Most intense lines, 10° ≤ 2θ ≤ 80°, most intense first:
- 30.23°, intensity 100
- 40.43°, intensity 95
- 26.40°, intensity 81
- 30.05°, intensity 63
- 29.82°, intensity 53
- 32.27°, intensity 44
- 25.00°, intensity 42
- 43.80°, intensity 39
- 34.13°, intensity 35
- 25.83°, intensity 31

---

4.
Calculated X-ray powder pattern of PrNdIBr2N for Cu Kα, from the GGA-PBE geometry in OQMD.
Kinematic intensities with the Lorentz-polarization factor, no thermal factor.

Structural model:
Lattice parameters (Å, degrees): 9.561 9.561 11.872 122.91 122.91 24.69
Sites, in units of the cell vectors:
Pr 0.078 0.078 0.460
Pr 0.922 0.922 0.540
Nd 0.365 0.365 0.213
Nd 0.635 0.635 0.787
I 0.455 0.455 0.773
I 0.545 0.545 0.227
Br 0.171 0.171 0.012
Br 0.284 0.284 0.377
Br 0.716 0.716 0.623
Br 0.829 0.829 0.988
N 0.073 0.073 0.655
N 0.927 0.927 0.345

Most intense lines, 10° ≤ 2θ ≤ 80°, most intense first:
- 30.93°, intensity 100
- 26.83°, intensity 74
- 25.43°, intensity 70
- 30.46°, intensity 66
- 41.40°, intensity 52
- 30.25°, intensity 49
- 34.40°, intensity 48
- 44.32°, intensity 42
- 40.66°, intensity 39
- 32.54°, intensity 37

---

5.
Calculated X-ray powder pattern of PrNdIBr2N for Cu Kα, from the GGA-PBE geometry in OQMD.
Kinematic intensities with the Lorentz-polarization factor, no thermal factor.

Structural model:
Lattice parameters (Å, degrees): 9.303 9.303 11.888 120.88 120.88 25.56
Sites, in units of the cell vectors:
Pr 0.080 0.080 0.457
Pr 0.920 0.920 0.543
Nd 0.368 0.368 0.222
Nd 0.632 0.632 0.778
I 0.158 0.158 0.015
I 0.842 0.842 0.985
Br 0.282 0.282 0.386
Br 0.456 0.456 0.749
Br 0.544 0.544 0.251
Br 0.718 0.718 0.614
N 0.073 0.073 0.650
N 0.927 0.927 0.350

Most intense lines, 10° ≤ 2θ ≤ 80°, most intense first:
- 30.42°, intensity 100
- 10.12°, intensity 69
- 26.57°, intensity 48
- 31.05°, intensity 41
- 25.15°, intensity 33
- 41.50°, intensity 27
- 41.12°, intensity 26
- 43.99°, intensity 26
- 32.99°, intensity 25
- 34.85°, intensity 21

---

6.
Calculated X-ray powder pattern of PrNdI2BrN for Cu Kα, from the GGA-PBE geometry in OQMD.
Kinematic intensities with the Lorentz-polarization factor, no thermal factor.

Structural model:
Lattice parameters (Å, degrees): 9.835 9.835 12.441 123.26 123.26 24.28
Sites, in units of the cell vectors:
Pr 0.133 0.133 0.275
Pr 0.867 0.867 0.725
Nd 0.427 0.427 0.042
Nd 0.573 0.573 0.958
I 0.226 0.226 0.121
I 0.340 0.340 0.493
I 0.660 0.660 0.507
I 0.774 0.774 0.879
Br 0.037 0.037 0.760
Br 0.963 0.963 0.240
N 0.427 0.427 0.854
N 0.573 0.573 0.146

Most intense lines, 10° ≤ 2θ ≤ 80°, most intense first:
- 30.15°, intensity 100
- 29.69°, intensity 58
- 24.98°, intensity 49
- 28.86°, intensity 47
- 39.58°, intensity 41
- 26.20°, intensity 40
- 37.36°, intensity 38
- 33.44°, intensity 37
- 43.77°, intensity 35
- 31.82°, intensity 31